Entry 1:
For ZnFeP2O7, a GGA+U-relaxed structure gives the simulated powder XRD pattern in this record (Cu Kα X-rays).
Peak positions follow from Bragg's law for the DFT cell and can differ from measured ones.

Peak list (10 most intense, 10 to 80 degrees two-theta, by intensity)
d 3.228, 27.63°, intensity 100; d 6.445, 13.74°, intensity 77; d 2.999, 29.79°, intensity 64; d 3.300, 27.02°, intensity 44; d 2.739, 32.70°, intensity 42; d 3.187, 28.00°, intensity 28; d 3.415, 26.09°, intensity 26; d 1.556, 59.41°, intensity 23; d 2.554, 35.14°, intensity 23; d 3.059, 29.20°, intensity 23

```
ZnFeP2O7
1.0
7.3282 0.0000 0.0000
-3.3414 7.6733 0.0000
-2.2181 -1.9853 9.5920
Zn Fe P O
4 4 8 28
Direct
0.1082 0.0472 0.3761
0.1077 0.5467 0.8759
0.8923 0.4533 0.1241
0.8918 0.9528 0.6239
0.1924 0.1530 0.9568
0.1922 0.6531 0.4570
0.8078 0.3469 0.5430
0.8076 0.8470 0.0432
0.2371 0.3482 0.6652
0.2370 0.8487 0.1648
0.3106 0.4009 0.2651
0.3106 0.9007 0.7653
0.6894 0.0993 0.2347
0.6894 0.5991 0.7349
0.7630 0.1513 0.8352
0.7629 0.6518 0.3348
0.1355 0.6556 0.0810
0.1361 0.1552 0.5812
0.1426 0.4605 0.5899
0.1429 0.9611 0.0894
0.1469 0.4648 0.2918
0.1467 0.9644 0.7915
0.2209 0.8594 0.3158
0.2216 0.3590 0.8162
0.2862 0.3571 0.1108
0.2870 0.8567 0.6111
0.3278 0.2633 0.3497
0.3276 0.7632 0.8502
0.4753 0.4180 0.6667
0.4753 0.9182 0.1667
0.5247 0.0818 0.8333
0.5247 0.5820 0.3333
0.6724 0.2368 0.1498
0.6722 0.7367 0.6503
0.7130 0.1433 0.3889
0.7138 0.6429 0.8892
0.7784 0.6410 0.1838
0.7791 0.1406 0.6842
0.8533 0.0356 0.2085
0.8531 0.5352 0.7082
0.8571 0.0389 0.9106
0.8574 0.5395 0.4101
0.8639 0.8448 0.4188
0.8645 0.3444 0.9190
```


Entry 2:
For LiMnF4, a GGA+U-relaxed structure gives the simulated powder XRD pattern in this record (Cu Kα X-rays).
Peak positions follow from Bragg's law for the DFT cell and can differ from measured ones.

Peak list (10 most intense, 10 to 80 degrees two-theta, by intensity)
d 5.115, 17.34°, intensity 100; d 3.803, 23.39°, intensity 68; d 3.715, 23.95°, intensity 56; d 3.006, 29.72°, intensity 48; d 3.222, 27.69°, intensity 31; d 1.916, 47.45°, intensity 20; d 2.229, 40.46°, intensity 19; d 2.289, 39.36°, intensity 19; d 2.093, 43.22°, intensity 17; d 1.563, 59.10°, intensity 16

```
LiMnF4
1.0
5.1443 0.0000 0.0000
0.0000 7.4308 0.0000
-0.8206 0.0000 7.6067
Li Mn F
4 4 16
Direct
0.0738 0.2367 0.2128
0.0738 0.2633 0.7128
0.9262 0.7367 0.2872
0.9262 0.7633 0.7872
0.5000 0.0000 0.0000
0.5000 0.0000 0.5000
0.5000 0.5000 0.0000
0.5000 0.5000 0.5000
0.1903 0.1227 0.9328
0.1903 0.3773 0.4328
0.2038 0.0579 0.6013
0.2038 0.4421 0.1013
0.3255 0.7253 0.4593
0.3255 0.7747 0.9593
0.3387 0.0465 0.2653
0.3387 0.4535 0.7653
0.6613 0.5465 0.2347
0.6613 0.9535 0.7347
0.6745 0.2253 0.0407
0.6745 0.2747 0.5407
0.7962 0.5579 0.8987
0.7962 0.9421 0.3987
0.8097 0.6227 0.5672
0.8097 0.8773 0.0672
```


Entry 3:
For BaZnMo4O8, a GGA+U-relaxed structure gives the simulated powder XRD pattern in this record (Cu Kα X-rays).
Peak positions follow from Bragg's law for the DFT cell and can differ from measured ones.

Peak list (10 most intense, 10 to 80 degrees two-theta, by intensity)
d 2.874, 31.11°, intensity 100; d 2.945, 30.35°, intensity 80; d 2.057, 44.02°, intensity 32; d 1.673, 54.89°, intensity 32; d 1.660, 55.36°, intensity 26; d 1.541, 60.02°, intensity 23; d 1.292, 73.29°, intensity 12; d 1.858, 49.03°, intensity 12; d 1.437, 64.88°, intensity 12; d 2.435, 36.92°, intensity 10

```
BaZnMo4O8
1.0
5.7487 0.0000 0.0000
-2.8744 4.9786 0.0000
0.0000 0.0000 7.3044
Ba Zn Mo O
1 1 4 8
Direct
0.0000 0.0000 0.0000
0.0000 0.0000 0.5000
0.3333 0.6667 0.2817
0.3333 0.6667 0.7183
0.6667 0.3333 0.2817
0.6667 0.3333 0.7183
0.0000 0.2934 0.3181
0.0000 0.7066 0.6819
0.2934 0.0000 0.3181
0.2934 0.2934 0.6819
0.3333 0.6667 0.0000
0.6667 0.3333 0.0000
0.7066 0.0000 0.6819
0.7066 0.7066 0.3181
```


Entry 4:
For Ba2GdMgMoO6, a GGA+U-relaxed structure gives the simulated powder XRD pattern in this record (Cu Kα X-rays).
Peak positions follow from Bragg's law for the DFT cell and can differ from measured ones.

Peak list (10 most intense, 10 to 80 degrees two-theta, by intensity)
d 3.095, 28.84°, intensity 100; d 2.178, 41.46°, intensity 66; d 3.063, 29.16°, intensity 64; d 3.081, 28.98°, intensity 53; d 3.324, 26.82°, intensity 39; d 2.939, 30.41°, intensity 29; d 2.726, 32.86°, intensity 28; d 3.339, 26.70°, intensity 28; d 5.147, 17.23°, intensity 22; d 2.362, 38.09°, intensity 21

```
Ba2GdMgMoO6
1.0
6.1254 0.0000 0.0000
3.0371 5.3931 0.0000
0.0045 3.0049 5.4584
Ba Gd Mg Mo O
2 1 1 1 6
Direct
0.1764 0.1130 0.1376
0.8236 0.8870 0.8624
0.0000 0.5000 0.5000
0.5000 0.5000 0.5000
0.5000 0.5000 0.0000
0.2203 0.9793 0.7870
0.2775 0.4876 0.2656
0.2937 0.4629 0.7518
0.7063 0.5371 0.2482
0.7225 0.5124 0.7344
0.7797 0.0207 0.2130
```


Entry 5:
For CsCrNiF6, a GGA+U-relaxed structure gives the simulated powder XRD pattern in this record (Cu Kα X-rays).
Peak positions follow from Bragg's law for the DFT cell and can differ from measured ones.

Peak list (10 most intense, 10 to 80 degrees two-theta, by intensity)
d 3.150, 28.33°, intensity 100; d 3.699, 24.06°, intensity 53; d 3.165, 28.20°, intensity 51; d 1.852, 49.21°, intensity 37; d 2.013, 45.04°, intensity 34; d 3.020, 29.58°, intensity 26; d 1.846, 49.38°, intensity 19; d 1.360, 69.04°, intensity 17; d 1.594, 57.84°, intensity 15; d 1.651, 55.66°, intensity 14

```
CsCrNiF6
1.0
-3.6899 3.6926 5.2544
3.6899 -3.6926 5.2544
3.6899 3.6926 -5.2544
Cs Cr Ni F
2 2 2 12
Direct
0.3713 0.1213 0.2500
0.6287 0.8787 0.7500
0.0000 0.5000 0.5000
0.5000 0.5000 0.0000
0.0000 0.0000 0.5000
0.0000 0.5000 0.0000
0.0713 0.4322 0.2592
0.0713 0.8121 0.6391
0.0727 0.8227 0.2500
0.3152 0.5652 0.7500
0.3270 0.1879 0.7592
0.3270 0.5678 0.1391
0.6730 0.4322 0.8609
0.6730 0.8121 0.2408
0.6848 0.4348 0.2500
0.9273 0.1773 0.7500
0.9287 0.1879 0.3609
0.9287 0.5678 0.7408
```


Entry 6:
For Ba2YW2F11, a GGA+U-relaxed structure gives the simulated powder XRD pattern in this record (Cu Kα X-rays).
Peak positions follow from Bragg's law for the DFT cell and can differ from measured ones.

Peak list (10 most intense, 10 to 80 degrees two-theta, by intensity)
d 3.110, 28.70°, intensity 100; d 3.497, 25.47°, intensity 64; d 3.814, 23.32°, intensity 54; d 3.313, 26.91°, intensity 46; d 6.224, 14.23°, intensity 40; d 2.133, 42.38°, intensity 32; d 2.771, 32.31°, intensity 28; d 2.369, 37.98°, intensity 28; d 4.061, 21.88°, intensity 27; d 1.657, 55.44°, intensity 25

```
Ba2YW2F11
1.0
7.8821 0.0000 0.0000
-3.9411 6.8261 0.0000
0.0000 0.0000 15.1586
Ba Y W F
6 3 6 33
Direct
0.0324 0.1713 0.0000
0.1389 0.9676 0.3333
0.2074 0.5859 0.5401
0.3785 0.7926 0.8734
0.4141 0.6215 0.2068
0.8287 0.8611 0.6667
0.4966 0.1288 0.0837
0.6322 0.5034 0.4171
0.8712 0.3678 0.7504
0.3417 0.3015 0.7623
0.4366 0.1594 0.5984
0.6985 0.0401 0.4290
0.7229 0.5634 0.9317
0.8406 0.2771 0.2651
0.9599 0.6583 0.0957
0.0676 0.5782 0.2687
0.0703 0.2251 0.2330
0.0852 0.3344 0.8347
0.0880 0.6460 0.6965
0.1270 0.0247 0.7907
0.1548 0.9297 0.5663
0.1624 0.5725 0.0560
0.2493 0.9148 0.1681
0.2570 0.0036 0.9850
0.3540 0.4419 0.3632
0.3757 0.3224 0.1069
0.4101 0.3917 0.5388
0.4101 0.8376 0.3893
0.4218 0.4894 0.9354
0.4275 0.5899 0.7226
0.5110 0.1725 0.4472
0.5106 0.9324 0.6021
0.5581 0.9120 0.0298
0.6083 0.0184 0.2055
0.6091 0.3458 0.2807
0.6542 0.2634 0.9473
0.6614 0.4890 0.7805
0.6656 0.7507 0.5014
0.6776 0.0533 0.7736
0.7366 0.3909 0.6140
0.7467 0.7430 0.3183
0.7749 0.8452 0.8996
0.8275 0.3386 0.1139
0.8977 0.8730 0.1240
0.9467 0.6243 0.4403
0.9753 0.1023 0.4573
0.9816 0.5899 0.8721
0.9964 0.2533 0.6517
```


Entry 7:
For ZnFe2O4, a GGA+U-relaxed structure gives the simulated powder XRD pattern in this record (Cu Kα X-rays).
Peak positions follow from Bragg's law for the DFT cell and can differ from measured ones.

Peak list (10 most intense, 10 to 80 degrees two-theta, by intensity)
d 2.557, 35.09°, intensity 100; d 1.804, 50.59°, intensity 96; d 5.116, 17.33°, intensity 85; d 2.548, 35.22°, intensity 80; d 2.278, 39.56°, intensity 66; d 1.463, 63.58°, intensity 55; d 3.601, 24.73°, intensity 52; d 3.588, 24.82°, intensity 51; d 2.529, 35.50°, intensity 36; d 1.474, 63.06°, intensity 36

```
ZnFe2O4
1.0
5.0572 0.0000 0.0000
0.0087 5.8967 0.0000
0.0707 0.0274 10.2323
Zn Fe O
4 8 16
Direct
0.0000 0.0000 0.0000
0.0672 0.5007 0.5000
0.3848 0.5004 0.0010
0.6783 0.0006 0.5002
0.0188 0.5002 0.2372
0.0198 0.5006 0.7653
0.0385 0.0004 0.7366
0.0390 0.0002 0.2616
0.5291 0.2476 0.7496
0.5286 0.2498 0.2506
0.5288 0.7529 0.7498
0.5298 0.7510 0.2507
0.1896 0.7518 0.1406
0.1905 0.2501 0.1402
0.1918 0.2410 0.8614
0.1932 0.7599 0.8621
0.3285 0.5001 0.3474
0.3279 0.5004 0.6531
0.3751 0.9999 0.3574
0.3746 0.0007 0.6434
0.6787 0.4997 0.8567
0.6799 0.5007 0.1436
0.7289 0.9999 0.8470
0.7312 0.0004 0.1521
0.8647 0.2448 0.6366
0.8657 0.7554 0.6373
0.8684 0.2503 0.3594
0.8679 0.7489 0.3598
```